Diffraction record for PrEuCuS3. The X-ray diffraction stick pattern is theoretical, not measured: it uses a DFT-relaxed cell (GGA-PBE, Alexandria) and Cu Kα.
No peak broadening, texture or thermal motion is included.

Peak list (10 most intense, 15 to 90 degrees two-theta, in order of rising 2θ)
24.70°, rel. 50
25.10°, rel. 45
25.25°, rel. 44
27.82°, rel. 100
31.25°, rel. 47
31.77°, rel. 43
33.30°, rel. 64
33.60°, rel. 39
37.81°, rel. 40
44.82°, rel. 46

Crystal structure
```
data_PrEuCuS3
_cell_length_a 8.101
_cell_length_b 4.045
_cell_length_c 15.789
_cell_angle_alpha 90.00
_cell_angle_beta 90.00
_cell_angle_gamma 90.00
_space_group_name_H-M_alt 'P 1'
_space_group_IT_number 1
loop_
_space_group_symop_operation_xyz
'x,y,z'
loop_
_atom_site_label
_atom_site_type_symbol
_atom_site_fract_x
_atom_site_fract_y
_atom_site_fract_z
_atom_site_occupancy
Pr1 Pr 0.249 0.250 0.041 1
Pr2 Pr 0.251 0.750 0.541 1
Pr3 Pr 0.749 0.250 0.459 1
Pr4 Pr 0.751 0.750 0.959 1
Eu1 Eu 0.088 0.750 0.283 1
Eu2 Eu 0.412 0.250 0.783 1
Eu3 Eu 0.588 0.750 0.217 1
Eu4 Eu 0.912 0.250 0.717 1
Cu1 Cu 0.118 0.750 0.866 1
Cu2 Cu 0.382 0.250 0.366 1
Cu3 Cu 0.618 0.750 0.634 1
Cu4 Cu 0.882 0.250 0.134 1
S1 S 0.010 0.750 0.097 1
S2 S 0.121 0.250 0.432 1
S3 S 0.179 0.750 0.720 1
S4 S 0.321 0.250 0.220 1
S5 S 0.379 0.750 0.932 1
S6 S 0.490 0.250 0.597 1
S7 S 0.510 0.750 0.403 1
S8 S 0.621 0.250 0.068 1
S9 S 0.679 0.750 0.780 1
S10 S 0.821 0.250 0.280 1
S11 S 0.879 0.750 0.568 1
S12 S 0.990 0.250 0.903 1
```

---

Diffraction record for NdBi3Pb. The X-ray diffraction stick pattern is theoretical, not measured: it uses a DFT-relaxed cell (GGA-PBE, Alexandria) and Cu Kα.
No peak broadening, texture or thermal motion is included.

Peak list (10 most intense, 15 to 90 degrees two-theta, in order of rising 2θ)
23.73°, rel. 17
28.01°, rel. 55
30.57°, rel. 61
30.80°, rel. 61
33.37°, rel. 100
34.24°, rel. 56
38.67°, rel. 31
39.25°, rel. 31
52.60°, rel. 26
60.76°, rel. 18

Crystal structure
```
data_NdBi3Pb
_cell_length_a 10.462
_cell_length_b 6.255
_cell_length_c 10.476
_cell_angle_alpha 90.00
_cell_angle_beta 90.00
_cell_angle_gamma 90.00
_space_group_name_H-M_alt 'P 1'
_space_group_IT_number 1
loop_
_space_group_symop_operation_xyz
'x,y,z'
loop_
_atom_site_label
_atom_site_type_symbol
_atom_site_fract_x
_atom_site_fract_y
_atom_site_fract_z
_atom_site_occupancy
Nd1 Nd 0.125 0.006 0.250 1
Nd2 Nd 0.125 0.494 0.750 1
Nd3 Nd 0.875 0.506 0.250 1
Nd4 Nd 0.875 0.994 0.750 1
Bi1 Bi 0.029 0.750 0.000 1
Bi2 Bi 0.029 0.750 0.500 1
Bi3 Bi 0.220 0.502 0.250 1
Bi4 Bi 0.220 0.998 0.750 1
Bi5 Bi 0.435 0.600 0.750 1
Bi6 Bi 0.435 0.900 0.250 1
Bi7 Bi 0.565 0.100 0.750 1
Bi8 Bi 0.565 0.400 0.250 1
Bi9 Bi 0.780 0.002 0.250 1
Bi10 Bi 0.780 0.498 0.750 1
Bi11 Bi 0.971 0.250 0.000 1
Bi12 Bi 0.971 0.250 0.500 1
Pb1 Pb 0.367 0.250 0.000 1
Pb2 Pb 0.367 0.250 0.500 1
Pb3 Pb 0.633 0.750 0.000 1
Pb4 Pb 0.633 0.750 0.500 1
```

---

Diffraction record for Ho8GaPt2. The X-ray diffraction stick pattern is theoretical, not measured: it uses a DFT-relaxed cell (GGA-PBE, Alexandria) and Cu Kα.
No peak broadening, texture or thermal motion is included.

Peak list (10 most intense, 15 to 90 degrees two-theta, in order of rising 2θ)
25.41°, rel. 48
30.30°, rel. 68
31.11°, rel. 53
31.89°, rel. 100
32.98°, rel. 95
33.56°, rel. 51
34.66°, rel. 89
38.15°, rel. 71
38.52°, rel. 45
64.83°, rel. 56

Crystal structure
```
data_Ho8GaPt2
_cell_length_a 7.913
_cell_length_b 7.913
_cell_length_c 5.456
_cell_angle_alpha 98.71
_cell_angle_beta 98.71
_cell_angle_gamma 114.23
_space_group_name_H-M_alt 'P 1'
_space_group_IT_number 1
loop_
_space_group_symop_operation_xyz
'x,y,z'
loop_
_atom_site_label
_atom_site_type_symbol
_atom_site_fract_x
_atom_site_fract_y
_atom_site_fract_z
_atom_site_occupancy
Ho1 Ho 0.000 0.000 0.000 1
Ho2 Ho 0.050 0.300 0.602 1
Ho3 Ho 0.145 0.614 0.189 1
Ho4 Ho 0.300 0.050 0.602 1
Ho5 Ho 0.461 0.711 0.772 1
Ho6 Ho 0.614 0.145 0.189 1
Ho7 Ho 0.711 0.461 0.772 1
Ho8 Ho 0.764 0.764 0.380 1
Ga1 Ga 0.381 0.381 0.211 1
Pt1 Pt 0.076 0.686 0.690 1
Pt2 Pt 0.686 0.076 0.690 1
```